Simulated powder diffractogram of BaCd2TeO2 for Cu Kα X-rays, from a crystal structure in Alexandria, relaxed with PBE.
Lines closer than 0.1° are merged.

Cell and atoms:
a = 8.637 Å, b = 6.402 Å, c = 9.159 Å
α = 90.00°, β = 113.66°, γ = 90.00°
Positions (direct):
Ba (0.096, 0.250, 0.422)
Ba (0.904, 0.750, 0.578)
Cd (0.227, 0.250, 0.843)
Cd (0.351, 0.750, 0.744)
Cd (0.649, 0.250, 0.256)
Cd (0.773, 0.750, 0.157)
Te (0.311, 0.250, 0.160)
Te (0.689, 0.750, 0.840)
O (0.165, 0.000, 0.668)
O (0.165, 0.500, 0.668)
O (0.835, 0.000, 0.332)
O (0.835, 0.500, 0.332)

Most intense lines, 10° ≤ 2θ ≤ 90°, low angle first:
two_theta  I/Imax  h k l
11.9  100  1 0 -1
17.4  73  0 1 1
17.8  90  1 1 0
18.3  34  1 1 -1
24.0  33  1 1 -2
27.9  69  0 2 0
32.5  77  1 1 -3
34.3  73  3 1 -1